Entry 1:
# K2InCoH6
Simulated X-ray powder pattern, a wavelength of 1.5418 Å. Input: DFT lattice parameters and positions (PBE).

Top 10 peaks for 2θ from 15° to 90°, sorted by position:
d/Å	2θ (°)	I (rel.)
4.575	19.40	8.5
3.962	22.44	18.1
2.801	31.95	100.0
2.389	37.65	5.8
2.287	39.39	4.8
1.981	45.81	18.3
1.772	51.58	7.8
1.617	56.93	34.5
1.401	66.77	8.9
1.253	75.94	11.9

Atomic structure:
```
data_K2InCoH6
_space_group_name_H-M_alt 'I m m m'
_space_group_IT_number 71
_space_group_name_Hall '-I 2 2'
_cell_length_a 5.5969
_cell_length_b 5.6044
_cell_length_c 7.9305
_cell_angle_alpha 90.00
_cell_angle_beta 90.00
_cell_angle_gamma 90.00
loop_
_atom_site_label
_atom_site_type_symbol
_atom_site_fract_x
_atom_site_fract_y
_atom_site_fract_z
K1 K 0.0000 0.0000 0.2501
In1 In 0.0000 0.5000 0.0000
Co1 Co 0.0000 0.5000 0.5000
H1 H 0.0000 0.5000 0.2987
H2 H 0.2030 0.2996 0.5000
```

Entry 2:
# Tm3CdIn4
Simulated X-ray powder pattern, a wavelength of 1.5418 Å. Input: DFT lattice parameters and positions (PBE).

Top 10 peaks for 2θ from 15° to 90°, sorted by position:
d/Å	2θ (°)	I (rel.)
2.840	31.50	82.8
2.718	32.95	38.4
2.663	33.66	100.0
2.489	36.09	46.5
2.321	38.80	24.5
2.210	40.82	40.9
2.016	44.96	16.2
1.653	55.61	16.6
1.468	63.35	15.4
1.420	65.75	27.9

Atomic structure:
```
data_Tm3CdIn4
_space_group_name_H-M_alt 'I m m m'
_space_group_IT_number 71
_space_group_name_Hall '-I 2 2'
_cell_length_a 3.3577
_cell_length_b 9.9550
_cell_length_c 12.6072
_cell_angle_alpha 90.00
_cell_angle_beta 90.00
_cell_angle_gamma 90.00
loop_
_atom_site_label
_atom_site_type_symbol
_atom_site_fract_x
_atom_site_fract_y
_atom_site_fract_z
Tm1 Tm 0.0000 0.0000 0.0000
Tm2 Tm 0.0000 0.5000 0.2248
Cd1 Cd 0.0000 0.0000 0.5000
In1 In 0.0000 0.2553 0.3743
```

Entry 3:
# BaCe2PbO8
Simulated X-ray powder pattern, a wavelength of 1.5418 Å. Input: DFT lattice parameters and positions (PBE).

Top 10 peaks for 2θ from 15° to 90°, sorted by position:
d/Å	2θ (°)	I (rel.)
3.577	24.89	61.6
3.331	26.76	47.3
3.107	28.74	100.0
2.848	31.42	42.4
2.786	32.13	25.6
2.194	41.13	22.3
2.040	44.40	35.7
1.946	46.68	27.7
1.828	49.89	20.4
1.758	52.02	23.2

Atomic structure:
```
data_BaCe2PbO8
_space_group_name_H-M_alt 'P 1 2/m 1'
_space_group_IT_number 10
_cell_length_a 5.5860
_cell_length_b 3.7423
_cell_length_c 8.8006
_cell_angle_alpha 90.00
_cell_angle_beta 94.19
_cell_angle_gamma 90.00
loop_
_space_group_symop_operation_xyz
'x,y,z'
'-x,-y,-z'
'-x,y,-z'
'x,-y,z'
loop_
_atom_site_label
_atom_site_type_symbol
_atom_site_fract_x
_atom_site_fract_y
_atom_site_fract_z
Ba1 Ba 0.0000 0.0000 0.0000
Ce1 Ce 0.4836 0.5000 0.7201
Pb1 Pb 0.0000 0.0000 0.5000
O1 O 0.1979 0.0000 0.7178
O2 O 0.2488 0.5000 0.4795
O3 O 0.3205 0.0000 0.2415
O4 O 0.3693 0.5000 0.9820
```

Entry 4:
# Th4Ga16Ru3
Simulated X-ray powder pattern, a wavelength of 1.5418 Å. Input: DFT lattice parameters and positions (PBE).

Top 10 peaks for 2θ from 15° to 90°, sorted by position:
d/Å	2θ (°)	I (rel.)
4.429	20.05	40.4
2.888	30.96	47.9
2.747	32.60	51.4
2.419	37.16	100.0
2.286	39.42	27.5
2.215	40.74	77.6
2.111	42.84	23.6
1.591	57.98	33.1
1.566	58.98	24.6
1.315	71.81	29.8

Atomic structure:
```
data_Th4Ga16Ru3
_space_group_name_H-M_alt 'P 4/m m m'
_space_group_IT_number 123
_space_group_name_Hall '-P 4 2'
_cell_length_a 6.2640
_cell_length_b 6.2640
_cell_length_c 11.4298
_cell_angle_alpha 90.00
_cell_angle_beta 90.00
_cell_angle_gamma 90.00
loop_
_atom_site_label
_atom_site_type_symbol
_atom_site_fract_x
_atom_site_fract_y
_atom_site_fract_z
Th1 Th 0.0000 0.5000 0.1966
Ga1 Ga 0.0000 0.0000 0.1968
Ga2 Ga 0.2118 0.2118 0.0000
Ga3 Ga 0.2519 0.2519 0.3856
Ga4 Ga 0.5000 0.5000 0.2247
Ru1 Ru 0.0000 0.5000 0.5000
Ru2 Ru 0.5000 0.5000 0.0000
```

Entry 5:
# SiB2
Simulated X-ray powder pattern, a wavelength of 1.5418 Å. Input: DFT lattice parameters and positions (PBE).

Top 10 peaks for 2θ from 15° to 90°, sorted by position:
d/Å	2θ (°)	I (rel.)
3.024	29.54	71.7
2.997	29.81	79.2
2.979	30.00	54.5
2.129	42.46	100.0
2.122	42.60	37.8
1.724	53.14	30.6
1.512	61.31	17.5
1.504	61.66	20.6
1.498	61.97	70.0
1.137	85.42	16.3

Atomic structure:
```
data_SiB2
_space_group_name_H-M_alt 'P 1 m 1'
_space_group_IT_number 6
_cell_length_a 3.4680
_cell_length_b 3.0239
_cell_length_c 5.9578
_cell_angle_alpha 90.00
_cell_angle_beta 90.04
_cell_angle_gamma 90.00
loop_
_space_group_symop_operation_xyz
'x,y,z'
'x,-y,z'
loop_
_atom_site_label
_atom_site_type_symbol
_atom_site_fract_x
_atom_site_fract_y
_atom_site_fract_z
Si1 Si 0.0000 0.0000 0.0000
Si2 Si 0.4290 0.0000 0.4873
B1 B 0.4967 0.0000 0.8219
B2 B 0.5100 0.5000 0.9745
B3 B 0.7062 0.5000 0.2527
B4 B 0.9319 0.0000 0.3273
```

Entry 6:
# CeCo2Ir
Simulated X-ray powder pattern, a wavelength of 1.5418 Å. Input: DFT lattice parameters and positions (PBE).

Top 10 peaks for 2θ from 15° to 90°, sorted by position:
d/Å	2θ (°)	I (rel.)
3.879	22.93	20.3
2.815	31.78	18.1
2.279	39.55	100.0
1.991	45.57	33.3
1.940	46.84	15.3
1.408	66.41	10.6
1.389	67.41	20.2
1.198	80.14	24.7
1.175	82.01	11.7
1.139	85.17	10.7

Atomic structure:
```
data_CeCo2Ir
_space_group_name_H-M_alt 'P 4/m m m'
_space_group_IT_number 123
_space_group_name_Hall '-P 4 2'
_cell_length_a 3.9816
_cell_length_b 3.9816
_cell_length_c 3.8790
_cell_angle_alpha 90.00
_cell_angle_beta 90.00
_cell_angle_gamma 90.00
loop_
_atom_site_label
_atom_site_type_symbol
_atom_site_fract_x
_atom_site_fract_y
_atom_site_fract_z
Ce1 Ce 0.0000 0.0000 0.0000
Co1 Co 0.0000 0.5000 0.5000
Ir1 Ir 0.5000 0.5000 0.0000
```

Entry 7:
# KNa3Cd8
Simulated X-ray powder pattern, a wavelength of 1.5418 Å. Input: DFT lattice parameters and positions (PBE).

Top 10 peaks for 2θ from 15° to 90°, sorted by position:
d/Å	2θ (°)	I (rel.)
5.082	17.45	34.8
4.950	17.92	98.8
2.635	34.03	41.3
2.597	34.53	79.1
2.579	34.78	38.9
2.541	35.32	35.3
2.475	36.30	100.0
2.157	41.88	50.8
1.541	60.06	26.5
1.511	61.36	25.5

Atomic structure:
```
data_KNa3Cd8
_space_group_name_H-M_alt 'R 3 m'
_space_group_IT_number 160
_space_group_name_Hall 'R 3 -2"'
_cell_length_a 6.0432
_cell_length_b 6.0432
_cell_length_c 30.4933
_cell_angle_alpha 90.00
_cell_angle_beta 90.00
_cell_angle_gamma 120.00
loop_
_atom_site_label
_atom_site_type_symbol
_atom_site_fract_x
_atom_site_fract_y
_atom_site_fract_z
K1 K 0.0000 0.0000 0.0000
Na1 Na 0.0000 0.0000 0.1268
Na2 Na 0.0000 0.0000 0.5002
Na3 Na 0.0000 0.0000 0.6225
Cd1 Cd 0.0000 0.0000 0.3124
Cd2 Cd 0.0000 0.0000 0.8129
Cd3 Cd 0.0012 0.5006 0.0651
Cd4 Cd 0.1679 0.3359 0.8945
```

Entry 8:
# Zr6Ir5Os
Simulated X-ray powder pattern, a wavelength of 1.5418 Å. Input: DFT lattice parameters and positions (PBE).

Top 10 peaks for 2θ from 15° to 90°, sorted by position:
d/Å	2θ (°)	I (rel.)
2.420	37.16	47.8
2.382	37.76	53.3
2.322	38.79	100.0
2.277	39.58	93.7
1.735	52.78	15.3
1.663	55.24	16.9
1.562	59.14	14.8
1.373	68.33	16.0
1.345	69.93	17.6
1.306	72.33	15.8

Atomic structure:
```
data_Zr6Ir5Os
_space_group_name_H-M_alt 'P 1 2/m 1'
_space_group_IT_number 10
_cell_length_a 4.8436
_cell_length_b 6.2484
_cell_length_c 7.4551
_cell_angle_alpha 90.00
_cell_angle_beta 106.53
_cell_angle_gamma 90.00
loop_
_space_group_symop_operation_xyz
'x,y,z'
'-x,-y,-z'
'-x,y,-z'
'x,-y,z'
loop_
_atom_site_label
_atom_site_type_symbol
_atom_site_fract_x
_atom_site_fract_y
_atom_site_fract_z
Zr1 Zr 0.0000 0.2500 0.0000
Zr2 Zr 0.3597 0.2494 0.6634
Ir1 Ir 0.1130 0.0000 0.3201
Ir2 Ir 0.1174 0.5000 0.3230
Ir3 Ir 0.5000 0.5000 0.0000
Os1 Os 0.5000 0.0000 0.0000
```

Entry 9:
# NaHf2SnW
Simulated X-ray powder pattern, a wavelength of 1.5418 Å. Input: DFT lattice parameters and positions (PBE).

Top 10 peaks for 2θ from 15° to 90°, sorted by position:
d/Å	2θ (°)	I (rel.)
5.444	16.28	100.0
3.685	24.15	82.4
2.968	30.11	62.1
2.722	32.91	56.5
2.503	35.87	89.8
2.274	39.63	44.3
2.071	43.71	35.2
1.843	49.47	72.8
1.770	51.64	32.1
1.484	62.60	36.2

Atomic structure:
```
data_NaHf2SnW
_space_group_name_H-M_alt 'P 4/m m m'
_space_group_IT_number 123
_space_group_name_Hall '-P 4 2'
_cell_length_a 5.0068
_cell_length_b 5.0068
_cell_length_c 5.4436
_cell_angle_alpha 90.00
_cell_angle_beta 90.00
_cell_angle_gamma 90.00
loop_
_atom_site_label
_atom_site_type_symbol
_atom_site_fract_x
_atom_site_fract_y
_atom_site_fract_z
Na1 Na 0.0000 0.0000 0.0000
Hf1 Hf 0.0000 0.5000 0.5000
Sn1 Sn 0.5000 0.5000 0.0000
W1 W 0.0000 0.0000 0.5000
```

Entry 10:
# Mg6Cd2Co
Simulated X-ray powder pattern, a wavelength of 1.5418 Å. Input: DFT lattice parameters and positions (PBE).

Top 10 peaks for 2θ from 15° to 90°, sorted by position:
d/Å	2θ (°)	I (rel.)
4.246	20.92	100.0
4.069	21.84	24.4
2.922	30.59	80.9
2.489	36.09	42.2
2.382	37.77	65.5
2.233	40.40	51.6
2.209	40.85	50.1
1.910	47.62	22.0
1.880	48.41	21.1
1.444	64.53	12.5

Atomic structure:
```
data_Mg6Cd2Co
_space_group_name_H-M_alt 'C 1 2/m 1'
_space_group_IT_number 12
_cell_length_a 15.2079
_cell_length_b 8.1378
_cell_length_c 3.1318
_cell_angle_alpha 90.00
_cell_angle_beta 100.92
_cell_angle_gamma 90.00
loop_
_space_group_symop_operation_xyz
'x,y,z'
'-x,-y,-z'
'-x,y,-z'
'x,-y,z'
'x+1/2,y+1/2,z'
'-x+1/2,-y+1/2,-z'
'-x+1/2,y+1/2,-z'
'x+1/2,-y+1/2,z'
loop_
_atom_site_label
_atom_site_type_symbol
_atom_site_fract_x
_atom_site_fract_y
_atom_site_fract_z
Mg1 Mg 0.0000 0.2248 0.0000
Mg2 Mg 0.1620 0.3201 0.6574
Cd1 Cd 0.1615 0.0000 0.1596
Co1 Co 0.0000 0.5000 0.5000
```

Entry 11:
# TbCeY5Er2
Simulated X-ray powder pattern, a wavelength of 1.5418 Å. Input: DFT lattice parameters and positions (PBE).

Top 10 peaks for 2θ from 15° to 90°, sorted by position:
d/Å	2θ (°)	I (rel.)
5.368	16.51	16.7
3.353	26.58	21.9
2.855	31.33	61.8
2.791	32.07	100.0
2.766	32.37	67.0
2.600	34.49	47.1
1.690	54.27	14.1
1.635	56.26	23.8
1.631	56.43	13.6
1.455	64.01	15.7

Atomic structure:
```
data_TbCeY5Er2
_space_group_name_H-M_alt 'C m c 21'
_space_group_IT_number 36
_cell_length_a 5.7095
_cell_length_b 21.4735
_cell_length_c 9.5897
_cell_angle_alpha 90.00
_cell_angle_beta 90.00
_cell_angle_gamma 90.00
loop_
_space_group_symop_operation_xyz
'x,y,z'
'-x,-y,z+1/2'
'-x,y,z'
'x,-y,z+1/2'
'x+1/2,y+1/2,z'
'-x+1/2,-y+1/2,z+1/2'
'-x+1/2,y+1/2,z'
'x+1/2,-y+1/2,z+1/2'
loop_
_atom_site_label
_atom_site_type_symbol
_atom_site_fract_x
_atom_site_fract_y
_atom_site_fract_z
Tb1 Tb 0.0000 0.0974 0.0000
Ce1 Ce 0.0000 0.3104 0.5952
Y1 Y 0.0000 0.0284 0.3208
Y2 Y 0.0000 0.1098 0.6168
Y3 Y 0.0000 0.1950 0.2845
Y4 Y 0.0000 0.2335 0.9074
Y5 Y 0.0000 0.4866 0.5863
Er1 Er 0.0000 0.3682 0.2836
Er2 Er 0.0000 0.3866 0.8953
```

Entry 12:
# K2ZnOsN
Simulated X-ray powder pattern, a wavelength of 1.5418 Å. Input: DFT lattice parameters and positions (PBE).

Top 10 peaks for 2θ from 15° to 90°, sorted by position:
d/Å	2θ (°)	I (rel.)
4.324	20.54	53.3
3.058	29.21	81.1
3.043	29.36	20.8
2.724	32.88	100.0
2.305	39.08	16.1
2.162	41.78	29.8
2.157	41.89	15.9
1.694	54.15	49.9
1.521	60.90	18.6
1.367	68.65	16.6

Atomic structure:
```
data_K2ZnOsN
_space_group_name_H-M_alt 'P 4/m m m'
_space_group_IT_number 123
_space_group_name_Hall '-P 4 2'
_cell_length_a 6.1153
_cell_length_b 6.1153
_cell_length_c 3.5075
_cell_angle_alpha 90.00
_cell_angle_beta 90.00
_cell_angle_gamma 90.00
loop_
_atom_site_label
_atom_site_type_symbol
_atom_site_fract_x
_atom_site_fract_y
_atom_site_fract_z
K1 K 0.0000 0.5000 0.0000
Zn1 Zn 0.0000 0.0000 0.5000
Os1 Os 0.5000 0.5000 0.5000
N1 N 0.0000 0.0000 0.0000
```